Simulated powder XRD pattern
Compound: Li10Fe3Co2Ni3O16
Radiation: a wavelength of 1.5418 Å
Structure: a crystal structure in the Materials Project, relaxed with PBE+U

Atomic structure:
Cell: 5.897 5.905 9.667 Å, 89.69 89.95 60.25°
Fractional positions:
Li 0.000 0.000 0.000
Li 0.000 0.429 0.000
Li 0.124 0.161 0.768
Li 0.188 0.618 0.502
Li 0.406 0.012 0.998
Li 0.452 0.486 0.268
Li 0.603 0.219 0.500
Li 0.618 0.614 0.493
Li 0.792 0.817 0.070
Li 0.793 0.828 0.563
Fe 0.450 0.989 0.268
Fe 0.624 0.653 0.766
Fe 0.625 0.161 0.768
Co 0.124 0.155 0.520
Co 0.459 0.486 0.022
Ni 0.134 0.652 0.764
Ni 0.963 0.985 0.265
Ni 0.964 0.476 0.264
O 0.132 0.148 0.148
O 0.135 0.646 0.134
O 0.284 0.845 0.399
O 0.286 0.301 0.397
O 0.313 0.329 0.895
O 0.315 0.789 0.895
O 0.455 0.994 0.645
O 0.469 0.486 0.646
O 0.612 0.654 0.142
O 0.613 0.160 0.141
O 0.772 0.332 0.896
O 0.789 0.815 0.371
O 0.790 0.822 0.876
O 0.828 0.298 0.394
O 0.955 0.001 0.640
O 0.955 0.486 0.636

Top 10 peaks for 10 to 80 degrees two-theta, low angle first:
h k l	2theta	Rel. int.
0 0 2	18.35	506
1 1 1	19.61	1000
1 1 -1	19.70	200
2 1 -2	35.65	292
0 2 1	36.24	242
0 2 -1	36.33	357
2 0 2	39.87	265
2 0 3	45.24	568
0 2 -3	45.37	377
4 2 0	63.01	355

=====

Simulated powder XRD pattern
Compound: Li4FeCo2Ni3P6O24
Radiation: a wavelength of 1.5418 Å
Structure: a crystal structure in the Materials Project, relaxed with PBE+U

Atomic structure:
Cell: 8.381 8.454 8.506 Å, 62.72 62.99 63.24°
Fractional positions:
Li 0.000 0.000 0.000
Li 0.105 0.881 0.500
Li 0.213 0.380 0.410
Li 0.622 0.593 0.788
Fe 0.208 0.586 0.997
Co 0.368 0.741 0.138
Co 0.848 0.239 0.645
Ni 0.003 0.382 0.793
Ni 0.501 0.881 0.289
Ni 0.714 0.093 0.501
P 0.106 0.183 0.195
P 0.306 0.985 0.689
P 0.411 0.484 0.593
P 0.606 0.283 0.099
P 0.803 0.786 0.895
P 0.908 0.692 0.394
O 0.040 0.211 0.041
O 0.107 0.141 0.716
O 0.109 0.664 0.237
O 0.175 0.342 0.155
O 0.253 0.418 0.621
O 0.258 0.985 0.219
O 0.287 0.828 0.890
O 0.322 0.922 0.539
O 0.369 0.550 0.755
O 0.408 0.652 0.406
O 0.452 0.484 0.074
O 0.469 0.045 0.648
O 0.541 0.126 0.132
O 0.606 0.334 0.577
O 0.608 0.807 0.049
O 0.670 0.248 0.255
O 0.746 0.735 0.333
O 0.760 0.304 0.900
O 0.810 0.975 0.732
O 0.832 0.630 0.830
O 0.894 0.842 0.456
O 0.925 0.491 0.549
O 0.957 0.166 0.394
O 0.964 0.743 0.965

Top 10 peaks for 10 to 80 degrees two-theta, low angle first:
h k l	2theta	Rel. int.
0 1 -1	20.12	1000
0 1 2	23.96	337
1 0 2	24.02	166
1 2 0	24.21	332
2 1 0	24.32	162
1 2 3	33.18	166
1 3 2	33.32	309
2 3 1	33.62	295
-2 1 1	35.23	605
1 2 -3	55.07	319